Diffraction record for Pm2Dy5Tl. The powder XRD pattern is simulated, not measured: it uses a structure optimized by DFT (GGA-PBE) and a wavelength of 1.5418 Å.
Peak positions follow from Bragg's law for the DFT cell and can differ from measured ones.

Structure:
```
16
Lattice="3.5546 0.0000 0.0000 0.0000 6.7440 0.0000 0.0000 0.0000 21.1596" Properties=species:S:1:pos:R:3 pbc="T T T"
Pm 0.0000 0.0000 5.0654
Pm 0.0000 0.0000 16.0942
Pm 1.7773 3.3720 5.5144
Pm 1.7773 3.3720 15.6452
Dy 0.0000 0.0000 0.0000
Dy 0.0000 1.6810 8.1794
Dy 0.0000 1.6810 12.9801
Dy 0.0000 5.0629 8.1794
Dy 0.0000 5.0629 12.9801
Dy 1.7773 1.6909 2.4003
Dy 1.7773 1.6909 18.7592
Dy 1.7773 3.3720 10.5798
Dy 1.7773 5.0530 2.4003
Dy 1.7773 5.0530 18.7592
Tl 0.0000 3.3720 0.0000
Tl 1.7773 0.0000 10.5798
```

Principal peaks in the range 2θ = 10–80°, low angle first:
2theta	I (rel.)
28.11	35
29.64	16
31.46	100
32.91	61
33.89	34
36.99	61
51.41	13
54.10	37
61.53	30
65.08	17

***

Diffraction record for Pm6Dy12Tl. The powder XRD pattern is simulated, not measured: it uses a structure optimized by DFT (GGA-PBE) and a wavelength of 1.5418 Å.
Peak positions follow from Bragg's law for the DFT cell and can differ from measured ones.

Structure:
```
19
Lattice="5.9613 3.4417 5.0003 -5.9613 3.4417 5.0003 0.0000 -6.8835 5.0003" Properties=species:S:1:pos:R:3 pbc="T T T"
Pm -2.3622 -2.5119 7.7455
Pm -3.3565 0.7898 7.2553
Pm 0.9943 -3.3017 7.2553
Pm -0.9943 3.3017 7.7455
Pm 3.3565 -0.7898 7.7455
Pm 2.3622 2.5119 7.2553
Dy -1.4216 -5.3446 6.2594
Dy -5.3393 -1.4412 8.7414
Dy -1.0201 -1.7947 4.6984
Dy -3.9178 3.9034 6.2594
Dy -1.0442 1.7807 4.6984
Dy 2.0643 0.0139 4.6984
Dy -2.0643 -0.0139 10.3025
Dy 1.0442 -1.7807 10.3025
Dy 3.9178 -3.9034 8.7414
Dy 1.0201 1.7947 10.3025
Dy 5.3393 1.4412 6.2594
Dy 1.4216 5.3446 8.7414
Tl 0.0000 0.0000 7.5004
```

Principal peaks in the range 2θ = 10–80°, low angle first:
2theta	I (rel.)
23.56	16
31.04	45
31.56	31
31.81	100
33.13	72
33.50	30
35.05	21
45.28	15
55.56	20
58.51	13

***

Diffraction record for Pm6Dy3Tl. The powder XRD pattern is simulated, not measured: it uses a structure optimized by DFT (GGA-PBE) and a wavelength of 1.5418 Å.
Peak positions follow from Bragg's law for the DFT cell and can differ from measured ones.

Structure:
```
20
Lattice="12.3767 0.0000 0.0000 0.0000 3.6167 0.0000 -1.0026 0.0000 14.8166" Properties=species:S:1:pos:R:3 pbc="T T T"
Pm 0.3953 0.9042 5.7880
Pm 0.5235 2.7125 14.1303
Pm 1.7123 0.9042 11.1257
Pm 3.3409 2.7125 4.6213
Pm 3.7261 0.9042 1.5892
Pm 4.2962 0.9042 7.3655
Pm 7.0779 2.7125 7.4510
Pm 7.6480 2.7125 13.2274
Pm 8.0332 0.9042 10.1953
Pm 9.6618 2.7125 3.6909
Pm 10.8506 0.9042 0.6863
Pm 10.9788 2.7125 9.0285
Dy 0.7302 2.7125 2.6839
Dy 4.0261 2.7125 13.6038
Dy 4.8467 2.7125 10.3233
Dy 6.5274 0.9042 4.4933
Dy 7.3480 0.9042 1.2128
Dy 10.6439 0.9042 12.1327
Tl 1.7736 2.7125 8.2759
Tl 9.6005 0.9042 6.5407
```

Principal peaks in the range 2θ = 10–80°, low angle first:
2theta	I (rel.)
29.15	20
29.96	40
30.63	71
31.38	43
31.51	100
33.25	27
33.44	36
33.81	28
50.47	23
60.73	19

***

Diffraction record for Pm3Dy2Tl4. The powder XRD pattern is simulated, not measured: it uses a structure optimized by DFT (GGA-PBE) and a wavelength of 1.5418 Å.
Peak positions follow from Bragg's law for the DFT cell and can differ from measured ones.

Structure:
```
9
Lattice="4.6492 -2.6865 0.0000 4.6492 2.6865 0.0000 -0.0094 0.0000 10.5203" Properties=species:S:1:pos:R:3 pbc="T T T"
Pm 0.0000 0.0000 0.0000
Pm 3.0951 0.0000 6.0868
Pm 6.1940 0.0000 4.4335
Dy 3.0940 0.0000 2.3318
Dy 6.1950 0.0000 8.1885
Tl 9.2945 0.0000 3.6142
Tl -0.0055 0.0000 6.9061
Tl 3.0940 0.0000 9.4520
Tl 6.1951 0.0000 1.0683
```

Principal peaks in the range 2θ = 10–80°, low angle first:
2theta	I (rel.)
31.96	100
33.37	94
46.88	35
56.05	19
58.75	36
59.64	18
66.82	11
70.08	11
76.78	15
79.10	15

***

Diffraction record for PmDy3Tl4. The powder XRD pattern is simulated, not measured: it uses a structure optimized by DFT (GGA-PBE) and a wavelength of 1.5418 Å.
Peak positions follow from Bragg's law for the DFT cell and can differ from measured ones.

Structure:
```
16
Lattice="10.8425 0.0000 0.0000 0.0000 7.5615 0.0000 0.0000 0.0000 5.4220" Properties=species:S:1:pos:R:3 pbc="T T T"
Pm 0.0000 0.0000 0.0000
Pm 5.4212 0.0000 0.0000
Dy 0.0000 3.7808 0.0000
Dy 2.7106 0.0000 2.7007
Dy 2.7106 3.7808 2.6991
Dy 5.4212 3.7808 0.0000
Dy 8.1318 0.0000 2.7213
Dy 8.1318 3.7808 2.7229
Tl 0.0000 1.9246 2.7110
Tl 0.0000 5.6369 2.7110
Tl 2.7106 1.9246 5.4086
Tl 2.7106 5.6369 5.4086
Tl 5.4212 1.9246 2.7110
Tl 5.4212 5.6369 2.7110
Tl 8.1318 1.9246 0.0134
Tl 8.1318 5.6369 0.0134
```

Principal peaks in the range 2θ = 10–80°, low angle first:
2theta	I (rel.)
33.04	51
33.28	100
47.43	19
48.13	9
59.17	39
59.63	19
69.33	6
69.89	12
78.97	9
79.11	9

***

Diffraction record for PmDy8Tl2. The powder XRD pattern is simulated, not measured: it uses a structure optimized by DFT (GGA-PBE) and a wavelength of 1.5418 Å.
Peak positions follow from Bragg's law for the DFT cell and can differ from measured ones.

Structure:
```
11
Lattice="4.4247 -7.5808 0.0000 4.4247 7.5808 0.0000 -2.2987 0.0000 5.1621" Properties=species:S:1:pos:R:3 pbc="T T T"
Pm 0.0000 0.0000 0.0000
Dy 0.4189 1.7266 3.2009
Dy 4.4247 4.2563 0.0000
Dy 0.4189 -1.7266 3.2009
Dy 3.1191 0.0000 1.0536
Dy 3.4315 0.0000 4.1085
Dy 6.1318 1.7266 1.9612
Dy 4.4247 -4.2563 0.0000
Dy 6.1318 -1.7266 1.9612
Tl 3.2753 2.9379 2.5810
Tl 3.2753 -2.9379 2.5810
```

Principal peaks in the range 2θ = 10–80°, low angle first:
2theta	I (rel.)
29.23	49
29.83	40
31.12	75
32.38	100
32.70	20
33.25	25
33.79	91
34.81	28
35.38	19
59.64	28

***

Diffraction record for Pm4DyTl5. The powder XRD pattern is simulated, not measured: it uses a structure optimized by DFT (GGA-PBE) and a wavelength of 1.5418 Å.
Peak positions follow from Bragg's law for the DFT cell and can differ from measured ones.

Structure:
```
10
Lattice="3.8193 0.0000 0.0000 0.0000 3.8193 0.0000 0.0000 0.0000 19.7497" Properties=species:S:1:pos:R:3 pbc="T T T"
Pm 0.0000 0.0000 2.0009
Pm 0.0000 0.0000 6.0066
Pm 0.0000 0.0000 13.7431
Pm 0.0000 0.0000 17.7488
Dy 0.0000 0.0000 9.8749
Tl 1.9097 1.9097 0.0000
Tl 1.9097 1.9097 4.0081
Tl 1.9097 1.9097 8.0134
Tl 1.9097 1.9097 11.7363
Tl 1.9097 1.9097 15.7416
```

Principal peaks in the range 2θ = 10–80°, low angle first:
2theta	I (rel.)
32.61	100
33.17	48
45.95	9
47.62	18
57.84	19
58.91	38
68.33	12
76.53	8
79.02	8
79.33	8

***

Diffraction record for Pm4Dy3Tl4. The powder XRD pattern is simulated, not measured: it uses a structure optimized by DFT (GGA-PBE) and a wavelength of 1.5418 Å.
Peak positions follow from Bragg's law for the DFT cell and can differ from measured ones.

Structure:
```
11
Lattice="-1.8360 4.7329 9.6717 1.8360 -4.7329 9.6717 1.8360 4.7329 -9.6717" Properties=species:S:1:pos:R:3 pbc="T T T"
Pm 1.8360 -3.0538 6.5440
Pm 0.0000 1.6791 3.1277
Pm 1.8360 3.0538 6.5440
Pm 0.0000 7.7867 3.1277
Dy 1.8360 0.0000 0.0000
Dy 0.0000 0.0000 7.8489
Dy 0.0000 0.0000 11.4946
Tl 1.8360 0.0000 5.3159
Tl 0.0000 2.6498 0.0000
Tl 0.0000 6.8161 0.0000
Tl 0.0000 4.7329 4.3558
```

Principal peaks in the range 2θ = 10–80°, low angle first:
2theta	I (rel.)
31.17	91
31.57	73
32.03	89
33.64	100
33.81	34
38.76	39
45.32	35
58.04	32
61.35	29
61.67	36